Starting from a cell relaxed with GGA-PBE, the powder diffractogram of Ho3PbC was calculated for Cu Kα (λ = 1.5418 Å).
Kinematic intensities with the Lorentz-polarization factor, no thermal factor.

The 10 most intense peaks (10 to 90 degrees two-theta), in order of rising 2θ:
| Position (°2θ) | I/Imax | h k l |
| --- | --- | --- |
| 25.78 | 2 | 1 1 0 |
| 31.71 | 100 | 1 1 1 |
| 36.77 | 54 | 2 0 0 |
| 45.45 | 1 | 2 1 1 |
| 52.99 | 38 | 2 2 0 |
| 63.08 | 43 | 3 1 1 |
| 66.23 | 13 | 2 2 2 |
| 78.23 | 6 | 4 0 0 |
| 86.86 | 19 | 3 3 1 |
| 89.71 | 18 | 4 2 0 |

Structural model:
a = 4.888 Å, b = 4.888 Å, c = 4.888 Å
α = 90.00°, β = 90.00°, γ = 90.00°
Space group Pm-3m (No. 221)
Symmetry-distinct sites (fractional):
Ho (0.000, 0.000, 0.500) (multiplicity 3)
Pb (0.500, 0.500, 0.500) (multiplicity 1)
C (0.000, 0.000, 0.000) (multiplicity 1)

Starting from a cell relaxed with GGA-PBE, the powder diffractogram of Ho8Rh5C12 was calculated for Cu Kα (λ = 1.5418 Å).
Kinematic intensities with the Lorentz-polarization factor, no thermal factor.

The 10 most intense peaks (10 to 90 degrees two-theta), in order of rising 2θ:
| Position (°2θ) | I/Imax | h k l |
| --- | --- | --- |
| 26.52 | 56 | 4 0 -2 |
| 28.17 | 39 | 4 0 2 |
| 32.18 | 35 | 10 0 0 |
| 32.81 | 39 | 5 1 1 |
| 33.95 | 100 | 7 1 0 |
| 35.49 | 70 | 1 1 2 |
| 36.03 | 98 | 3 1 -2 |
| 36.68 | 43 | 7 1 1 |
| 36.99 | 35 | 3 1 2 |
| 51.73 | 41 | 0 2 0 |

Structural model:
a = 27.885 Å, b = 3.534 Å, c = 7.399 Å
α = 90.00°, β = 94.10°, γ = 90.00°
Space group C2/m (No. 12)
Symmetry-distinct sites (fractional):
Ho (0.047, 0.000, 0.297) (multiplicity 4)
Ho (0.088, 0.000, 0.828) (multiplicity 4)
Ho (0.200, 0.000, 0.609) (multiplicity 4)
Ho (0.206, 0.000, 0.116) (multiplicity 4)
Rh (0.000, 0.500, 0.000) (multiplicity 2)
Rh (0.110, 0.500, 0.493) (multiplicity 4)
Rh (0.117, 0.500, 0.127) (multiplicity 4)
C (0.023, 0.500, 0.755) (multiplicity 4)
C (0.048, 0.500, 0.614) (multiplicity 4)
C (0.159, 0.500, 0.873) (multiplicity 4)
C (0.169, 0.500, 0.347) (multiplicity 4)
C (0.207, 0.500, 0.869) (multiplicity 4)
C (0.217, 0.500, 0.365) (multiplicity 4)

Repeat the second record exactly.
Starting from a cell relaxed with GGA-PBE, the powder diffractogram of Ho8Rh5C12 was calculated for Cu Kα (λ = 1.5418 Å).
Kinematic intensities with the Lorentz-polarization factor, no thermal factor.

The 10 most intense peaks (10 to 90 degrees two-theta), in order of rising 2θ:
| Position (°2θ) | I/Imax | h k l |
| --- | --- | --- |
| 26.52 | 56 | 4 0 -2 |
| 28.17 | 39 | 4 0 2 |
| 32.18 | 35 | 10 0 0 |
| 32.81 | 39 | 5 1 1 |
| 33.95 | 100 | 7 1 0 |
| 35.49 | 70 | 1 1 2 |
| 36.03 | 98 | 3 1 -2 |
| 36.68 | 43 | 7 1 1 |
| 36.99 | 35 | 3 1 2 |
| 51.73 | 41 | 0 2 0 |

Structural model:
a = 27.885 Å, b = 3.534 Å, c = 7.399 Å
α = 90.00°, β = 94.10°, γ = 90.00°
Space group C2/m (No. 12)
Symmetry-distinct sites (fractional):
Ho (0.047, 0.000, 0.297) (multiplicity 4)
Ho (0.088, 0.000, 0.828) (multiplicity 4)
Ho (0.200, 0.000, 0.609) (multiplicity 4)
Ho (0.206, 0.000, 0.116) (multiplicity 4)
Rh (0.000, 0.500, 0.000) (multiplicity 2)
Rh (0.110, 0.500, 0.493) (multiplicity 4)
Rh (0.117, 0.500, 0.127) (multiplicity 4)
C (0.023, 0.500, 0.755) (multiplicity 4)
C (0.048, 0.500, 0.614) (multiplicity 4)
C (0.159, 0.500, 0.873) (multiplicity 4)
C (0.169, 0.500, 0.347) (multiplicity 4)
C (0.207, 0.500, 0.869) (multiplicity 4)
C (0.217, 0.500, 0.365) (multiplicity 4)